Entry 1:
Simulated powder diffractogram of V9O17 for Cu Kα, from a structure optimized by DFT (GGA+U).

Main lines, in order of rising 2θ (2θ = 15–90°):
2θ = 24.29°, I = 44.4; 2θ = 26.75°, I = 76.8; 2θ = 28.28°, I = 70.4; 2θ = 29.08°, I = 100.0; 2θ = 35.75°, I = 42.8; 2θ = 35.96°, I = 42.8; 2θ = 53.69°, I = 55.4; 2θ = 54.69°, I = 45.8

Crystal structure
Cell lengths 5.565, 7.117, 14.730 Å; angles 96.29, 90.45, 108.24 degrees
Fractional coordinates of all 52 atoms:
V: 0.000 0.000 0.000
V: 0.002 0.504 0.003
V: 0.060 0.927 0.207
V: 0.066 0.424 0.202
V: 0.136 0.403 0.774
V: 0.152 0.902 0.770
V: 0.309 0.314 0.545
V: 0.310 0.814 0.544
V: 0.468 0.725 0.319
V: 0.484 0.224 0.315
V: 0.553 0.204 0.887
V: 0.560 0.701 0.883
V: 0.617 0.126 0.086
V: 0.619 0.629 0.090
V: 0.725 0.112 0.663
V: 0.738 0.615 0.655
V: 0.880 0.013 0.434
V: 0.894 0.515 0.427
O: 0.011 0.292 0.464
O: 0.018 0.616 0.738
O: 0.018 0.789 0.069
O: 0.105 0.287 0.653
O: 0.111 0.054 0.320
O: 0.180 0.709 0.238
O: 0.185 0.022 0.511
O: 0.203 0.541 0.898
O: 0.258 0.190 0.816
O: 0.260 0.684 0.417
O: 0.271 0.496 0.092
O: 0.349 0.134 0.997
O: 0.359 0.944 0.673
O: 0.361 0.436 0.273
O: 0.417 0.086 0.191
O: 0.434 0.605 0.578
O: 0.441 0.919 0.851
O: 0.508 0.574 0.769
O: 0.514 0.340 0.436
O: 0.600 0.840 0.021
O: 0.601 0.011 0.352
O: 0.608 0.335 0.625
O: 0.658 0.498 0.949
O: 0.663 0.981 0.536
O: 0.695 0.766 0.207
O: 0.775 0.432 0.114
O: 0.779 0.739 0.392
O: 0.784 0.253 0.795
O: 0.836 0.375 0.295
O: 0.840 0.889 0.698
O: 0.845 0.198 0.975
O: 0.926 0.860 0.883
O: 0.956 0.647 0.554
O: 0.961 0.131 0.140


Entry 2:
Simulated powder diffractogram of Li4Mn3CuP4O16 for Cu Kα, from a structure optimized by DFT (GGA+U).

Main lines, in order of rising 2θ (2θ = 15–90°):
2θ = 16.98°, I = 39.3; 2θ = 20.26°, I = 48.5; 2θ = 20.56°, I = 33.9; 2θ = 24.94°, I = 57.6; 2θ = 25.17°, I = 54.5; 2θ = 28.97°, I = 100.0; 2θ = 34.77°, I = 63.3; 2θ = 35.31°, I = 64.9

Crystal structure
Cell lengths 4.787, 6.164, 10.444 Å; angles 90.00, 91.08, 90.00 degrees
Fractional coordinates of all 28 atoms:
Li: 0.000 0.249 0.000
Li: 0.000 0.751 0.000
Li: 0.497 0.250 0.491
Li: 0.497 0.750 0.491
Mn: 0.024 0.500 0.714
Mn: 0.478 0.500 0.214
Mn: 0.519 0.000 0.776
Cu: 0.949 0.000 0.281
P: 0.077 0.000 0.583
P: 0.413 0.000 0.093
P: 0.587 0.500 0.901
P: 0.916 0.500 0.401
O: 0.190 0.000 0.443
O: 0.215 0.200 0.652
O: 0.215 0.800 0.652
O: 0.236 0.500 0.401
O: 0.266 0.500 0.897
O: 0.283 0.204 0.158
O: 0.283 0.796 0.158
O: 0.295 0.000 0.953
O: 0.713 0.500 0.039
O: 0.717 0.299 0.831
O: 0.717 0.701 0.831
O: 0.738 0.000 0.101
O: 0.756 0.000 0.588
O: 0.781 0.300 0.328
O: 0.781 0.700 0.328
O: 0.790 0.500 0.537


Entry 3:
Simulated powder diffractogram of Mn5Te3O16 for Cu Kα, from a structure optimized by DFT (GGA+U).

Main lines, in order of rising 2θ (2θ = 15–90°):
2θ = 16.34°, I = 20.4; 2θ = 18.53°, I = 36.2; 2θ = 18.94°, I = 100.0; 2θ = 19.05°, I = 39.5; 2θ = 34.03°, I = 29.1; 2θ = 34.83°, I = 32.1; 2θ = 34.98°, I = 31.6; 2θ = 60.01°, I = 19.8

Crystal structure
Cell lengths 6.080, 6.178, 9.383 Å; angles 87.37, 89.22, 61.53 degrees
Fractional coordinates of all 24 atoms:
Mn: 0.000 0.000 0.000
Mn: 0.013 0.478 0.797
Mn: 0.171 0.175 0.497
Mn: 0.499 0.003 0.004
Mn: 0.686 0.139 0.269
Te: 0.171 0.673 0.500
Te: 0.494 0.504 0.006
Te: 0.676 0.671 0.501
O: 0.026 0.975 0.390
O: 0.181 0.145 0.903
O: 0.184 0.662 0.898
O: 0.291 0.385 0.619
O: 0.353 0.810 0.110
O: 0.354 0.813 0.610
O: 0.372 0.313 0.128
O: 0.496 0.526 0.391
O: 0.526 0.979 0.392
O: 0.644 0.203 0.894
O: 0.667 0.664 0.903
O: 0.794 0.319 0.136
O: 0.803 0.887 0.113
O: 0.833 0.381 0.619
O: 0.856 0.804 0.619
O: 0.988 0.544 0.381


Entry 4:
Simulated powder diffractogram of KCaNi2H3Se2O10 for Cu Kα, from a structure optimized by DFT (GGA+U).

Main lines, in order of rising 2θ (2θ = 15–90°):
2θ = 17.65°, I = 100.0; 2θ = 21.03°, I = 83.4; 2θ = 21.41°, I = 72.9; 2θ = 25.75°, I = 62.8; 2θ = 28.08°, I = 68.3; 2θ = 28.31°, I = 65.7; 2θ = 29.28°, I = 96.8; 2θ = 35.35°, I = 46.7

Crystal structure
Cell lengths 5.548, 6.641, 8.315 Å; angles 102.43, 95.07, 112.66 degrees
Fractional coordinates of all 19 atoms:
K: 0.000 0.000 0.000
Ca: 0.299 0.623 0.770
Ni: 0.351 0.368 0.465
Ni: 0.833 0.738 0.454
H: 0.662 0.326 0.250
H: 0.841 0.327 0.454
H: 0.906 0.164 0.570
Se: 0.286 0.667 0.219
Se: 0.453 0.059 0.686
O: 0.113 0.868 0.668
O: 0.161 0.629 0.019
O: 0.161 0.836 0.330
O: 0.179 0.403 0.246
O: 0.429 0.319 0.710
O: 0.535 0.694 0.572
O: 0.549 0.046 0.884
O: 0.621 0.790 0.249
O: 0.680 0.386 0.370
O: 0.991 0.305 0.539


Entry 5:
Simulated powder diffractogram of LiFe3P3O13 for Cu Kα, from a structure optimized by DFT (GGA+U).

Main lines, in order of rising 2θ (2θ = 15–90°):
2θ = 16.36°, I = 68.1; 2θ = 19.18°, I = 100.0; 2θ = 23.82°, I = 55.6; 2θ = 26.68°, I = 67.7; 2θ = 28.07°, I = 54.7; 2θ = 29.41°, I = 53.5; 2θ = 30.24°, I = 59.2; 2θ = 32.32°, I = 98.1

Crystal structure
Cell lengths 7.570, 6.358, 10.501 Å; angles 90.00, 99.45, 90.00 degrees
Fractional coordinates of all 40 atoms:
Li: 0.121 0.250 0.135
Li: 0.879 0.750 0.865
Fe: 0.138 0.250 0.803
Fe: 0.279 0.750 0.445
Fe: 0.500 0.000 0.000
Fe: 0.500 0.500 0.000
Fe: 0.721 0.250 0.555
Fe: 0.862 0.750 0.197
P: 0.194 0.750 0.120
P: 0.232 0.750 0.767
P: 0.281 0.250 0.517
P: 0.719 0.750 0.483
P: 0.768 0.250 0.233
P: 0.806 0.250 0.880
O: 0.001 0.750 0.042
O: 0.117 0.560 0.793
O: 0.117 0.940 0.793
O: 0.151 0.750 0.261
O: 0.156 0.250 0.619
O: 0.241 0.055 0.431
O: 0.241 0.445 0.431
O: 0.282 0.750 0.632
O: 0.295 0.546 0.096
O: 0.295 0.954 0.096
O: 0.375 0.250 0.910
O: 0.408 0.750 0.871
O: 0.479 0.250 0.585
O: 0.521 0.750 0.415
O: 0.592 0.250 0.129
O: 0.625 0.750 0.090
O: 0.705 0.046 0.904
O: 0.705 0.454 0.904
O: 0.718 0.250 0.368
O: 0.759 0.555 0.569
O: 0.759 0.945 0.569
O: 0.844 0.750 0.381
O: 0.849 0.250 0.739
O: 0.883 0.060 0.207
O: 0.883 0.440 0.207
O: 0.999 0.250 0.958